(1)
# Pu2Al6Au9
Calculated powder diffraction line list, Cu Ka. Input: a cell relaxed with GGA-PBE.
Neutral-atom scattering factors, no anomalous dispersion.

Main lines, sorted by position (2θ from 15° to 90°):
d_spacing  2θ/deg  Rel. int.
4.097  21.7  33
3.173  28.1  74
2.509  35.8  100
2.365  38.0  53
2.140  42.2  54
1.721  53.2  26
1.587  58.1  49
1.183  81.4  24

Structure:
```
Pu2Al6Au9
1.0
5.794 0.000 0.000
-2.897 5.018 0.000
0.000 0.000 12.291
Pu Al Au
2 6 9
direct
0.000 0.000 0.178
0.000 0.000 0.822
0.333 0.667 0.165
0.333 0.667 0.500
0.333 0.667 0.835
0.667 0.333 0.165
0.667 0.333 0.500
0.667 0.333 0.835
0.000 0.500 0.000
0.000 0.500 0.333
0.000 0.500 0.667
0.500 0.000 0.000
0.500 0.000 0.333
0.500 0.000 0.667
0.500 0.500 0.000
0.500 0.500 0.333
0.500 0.500 0.667
```



(2)
# PuAl4Au8
Calculated powder diffraction line list, Cu Ka. Input: a cell relaxed with GGA-PBE.
Neutral-atom scattering factors, no anomalous dispersion.

Main lines, sorted by position (2θ from 15° to 90°):
d_spacing  2θ/deg  Rel. int.
3.272  27.3  42
2.762  32.4  59
2.693  33.3  54
2.328  38.7  100
2.314  38.9  39
2.110  42.9  41
1.496  62.0  26
1.338  70.3  35

Structure:
```
PuAl4Au8
1.0
-4.627 4.627 2.762
4.627 -4.627 2.762
4.627 4.627 -2.762
Pu Al Au
1 4 8
direct
0.000 0.000 0.000
0.000 0.000 0.500
0.000 0.500 0.000
0.500 0.000 0.000
0.500 0.500 0.500
0.000 0.329 0.329
0.000 0.671 0.671
0.281 0.500 0.781
0.329 0.000 0.329
0.500 0.281 0.781
0.500 0.719 0.219
0.671 0.000 0.671
0.719 0.500 0.219
```



(3)
# Pu3Al3Au8
Calculated powder diffraction line list, Cu Ka. Input: a cell relaxed with GGA-PBE.
Neutral-atom scattering factors, no anomalous dispersion.

Main lines, sorted by position (2θ from 15° to 90°):
d_spacing  2θ/deg  Rel. int.
2.969  30.1  18
2.649  33.8  23
2.630  34.1  100
2.542  35.3  21
2.387  37.7  19
2.324  38.7  40
2.025  44.8  17
1.394  67.2  15

Structure:
```
Pu3Al3Au8
1.0
8.127 -2.324 0.000
8.127 2.324 0.000
-5.028 0.000 7.596
Pu Al Au
3 3 8
direct
0.000 0.000 0.000
0.289 0.289 0.270
0.711 0.711 0.730
0.000 0.000 0.500
0.334 0.334 0.673
0.666 0.666 0.327
0.131 0.131 0.839
0.142 0.142 0.430
0.353 0.353 0.966
0.492 0.492 0.658
0.508 0.508 0.342
0.647 0.647 0.034
0.858 0.858 0.570
0.869 0.869 0.161
```



(4)
# Pu2Al6Au
Calculated powder diffraction line list, Cu Ka. Input: a cell relaxed with GGA-PBE.
Neutral-atom scattering factors, no anomalous dispersion.

Main lines, sorted by position (2θ from 15° to 90°):
d_spacing  2θ/deg  Rel. int.
5.592  15.8  35
3.808  23.4  100
3.002  29.8  94
2.645  33.9  59
2.462  36.5  69
2.358  38.2  69
1.854  49.1  32
1.608  57.3  34

Structure:
```
Pu2Al6Au
1.0
6.004 0.000 0.000
-3.002 5.200 0.000
0.000 0.000 5.592
Pu Al Au
2 6 1
direct
0.333 0.667 0.184
0.667 0.333 0.816
0.179 0.357 0.681
0.179 0.821 0.681
0.357 0.179 0.319
0.643 0.821 0.681
0.821 0.179 0.319
0.821 0.643 0.319
0.000 0.000 0.000
```



(5)
# PuScAl2Au4
Calculated powder diffraction line list, Cu Ka. Input: a cell relaxed with GGA-PBE.
Neutral-atom scattering factors, no anomalous dispersion.

Main lines, sorted by position (2θ from 15° to 90°):
d_spacing  2θ/deg  Rel. int.
3.814  23.3  24
3.383  26.3  39
3.140  28.4  19
2.685  33.4  25
2.484  36.2  97
2.309  39.0  100
1.691  54.2  37
1.364  68.8  48

Structure:
```
PuScAl2Au4
1.0
2.309 1.333 8.453
-2.309 1.333 8.453
0.000 -2.666 8.453
Pu Sc Al Au
1 1 2 4
direct
0.000 0.000 0.000
0.500 0.500 0.500
0.244 0.244 0.244
0.756 0.756 0.756
0.128 0.128 0.128
0.391 0.391 0.391
0.609 0.609 0.609
0.872 0.872 0.872
```



(6)
# Pu2Al3SnAu4
Calculated powder diffraction line list, Cu Ka. Input: a cell relaxed with GGA-PBE.
Neutral-atom scattering factors, no anomalous dispersion.

Main lines, sorted by position (2θ from 15° to 90°):
d_spacing  2θ/deg  Rel. int.
3.434  25.9  23
2.979  30.0  17
2.824  31.7  33
2.701  33.2  100
2.187  41.3  46
1.979  45.9  25
1.467  63.4  19
1.342  70.1  24

Structure:
```
Pu2Al3SnAu4
1.0
4.373 0.000 0.000
0.000 4.373 0.000
0.000 0.000 11.093
Pu Al Sn Au
2 3 1 4
direct
0.000 0.500 0.239
0.500 0.000 0.761
0.000 0.500 0.875
0.500 0.000 0.125
0.500 0.500 0.500
0.000 0.000 0.500
0.000 0.000 0.000
0.000 0.500 0.651
0.500 0.000 0.349
0.500 0.500 0.000
```



(7)
# PuAlZn3Au
Calculated powder diffraction line list, Cu Ka. Input: a cell relaxed with GGA-PBE.
Neutral-atom scattering factors, no anomalous dispersion.

Main lines, sorted by position (2θ from 15° to 90°):
d_spacing  2θ/deg  Rel. int.
5.630  15.7  43
3.594  24.8  60
3.112  28.7  49
2.815  31.8  66
2.626  34.1  64
2.431  37.0  53
2.239  40.3  100
2.107  42.9  81

Structure:
```
PuAlZn3Au
1.0
3.112 -6.603 0.000
3.112 6.603 0.000
0.000 0.000 5.725
Pu Al Zn Au
2 2 6 2
direct
0.205 0.795 0.750
0.795 0.205 0.250
0.423 0.577 0.750
0.577 0.423 0.250
0.197 0.197 0.000
0.197 0.197 0.500
0.371 0.629 0.250
0.629 0.371 0.750
0.803 0.803 0.000
0.803 0.803 0.500
0.164 0.836 0.250
0.836 0.164 0.750
```



(8)
# PuAlZnAu6
Calculated powder diffraction line list, Cu Ka. Input: a cell relaxed with GGA-PBE.
Neutral-atom scattering factors, no anomalous dispersion.

Main lines, sorted by position (2θ from 15° to 90°):
d_spacing  2θ/deg  Rel. int.
2.861  31.3  100
2.651  33.8  37
2.487  36.1  31
2.340  38.5  47
2.278  39.6  44
2.191  41.2  23
2.032  44.6  18
1.306  72.3  17

Structure:
```
PuAlZnAu6
1.0
-3.676 4.555 5.456
3.676 -4.555 5.456
3.676 4.555 -5.456
Pu Al Zn Au
2 2 2 12
direct
0.465 0.215 0.250
0.535 0.785 0.750
0.000 0.000 0.000
0.500 0.000 0.500
0.000 0.000 0.500
0.000 0.500 0.000
0.139 0.428 0.312
0.139 0.827 0.711
0.163 0.913 0.250
0.233 0.483 0.750
0.384 0.173 0.812
0.384 0.572 0.211
0.616 0.428 0.789
0.616 0.827 0.188
0.767 0.517 0.250
0.837 0.087 0.750
0.861 0.173 0.289
0.861 0.572 0.688
```



(9)
# RbAl3Au3
Calculated powder diffraction line list, Cu Ka. Input: a cell relaxed with GGA-PBE.
Neutral-atom scattering factors, no anomalous dispersion.

Main lines, sorted by position (2θ from 15° to 90°):
d_spacing  2θ/deg  Rel. int.
5.073  17.5  24
3.587  24.8  28
3.209  27.8  100
2.929  30.5  67
2.071  43.7  30
1.990  45.6  27
1.917  47.4  39
1.566  59.0  26

Structure:
```
RbAl3Au3
1.0
7.174 0.000 0.000
0.000 7.174 0.000
0.000 0.000 7.174
Rb Al Au
2 6 6
direct
0.000 0.000 0.000
0.500 0.500 0.500
0.000 0.250 0.500
0.000 0.750 0.500
0.250 0.500 0.000
0.500 0.000 0.250
0.500 0.000 0.750
0.750 0.500 0.000
0.000 0.500 0.250
0.000 0.500 0.750
0.250 0.000 0.500
0.500 0.250 0.000
0.500 0.750 0.000
0.750 0.000 0.500
```



(10)
# RbAlAu2
Calculated powder diffraction line list, Cu Ka. Input: a cell relaxed with GGA-PBE.
Neutral-atom scattering factors, no anomalous dispersion.

Main lines, sorted by position (2θ from 15° to 90°):
d_spacing  2θ/deg  Rel. int.
3.901  22.8  61
3.273  27.2  59
3.089  28.9  48
2.724  32.9  100
2.662  33.7  49
2.287  39.4  42
2.082  43.5  77
1.782  51.3  40

Structure:
```
RbAlAu2
1.0
4.573 0.000 0.000
0.000 7.474 0.000
0.000 0.000 6.784
Rb Al Au
2 2 4
direct
0.250 0.250 0.107
0.750 0.750 0.893
0.250 0.750 0.423
0.750 0.250 0.577
0.250 0.065 0.599
0.250 0.435 0.599
0.750 0.565 0.401
0.750 0.935 0.401
```



(11)
# Rb4Al2Au5
Calculated powder diffraction line list, Cu Ka. Input: a cell relaxed with GGA-PBE.
Neutral-atom scattering factors, no anomalous dispersion.

Main lines, sorted by position (2θ from 15° to 90°):
d_spacing  2θ/deg  Rel. int.
3.507  25.4  38
3.327  26.8  100
2.795  32.0  36
2.752  32.5  91
2.648  33.8  52
2.244  40.2  61
2.139  42.2  53
2.099  43.1  41

Structure:
```
Rb4Al2Au5
1.0
-4.274 15.895 2.795
4.274 -15.895 2.795
4.274 15.895 -2.795
Rb Al Au
8 4 10
direct
0.060 0.708 0.768
0.162 0.157 0.319
0.338 0.657 0.995
0.440 0.208 0.648
0.560 0.792 0.352
0.662 0.343 0.005
0.838 0.843 0.681
0.940 0.292 0.232
0.019 0.750 0.269
0.481 0.750 0.731
0.519 0.250 0.269
0.981 0.250 0.731
0.160 0.541 0.702
0.235 0.778 0.013
0.250 0.250 0.000
0.265 0.278 0.542
0.340 0.041 0.381
0.660 0.959 0.619
0.735 0.722 0.458
0.750 0.750 0.000
0.765 0.222 0.987
0.840 0.459 0.298
```



(12)
# RbAlTlAu2
Calculated powder diffraction line list, Cu Ka. Input: a cell relaxed with GGA-PBE.
Neutral-atom scattering factors, no anomalous dispersion.

Main lines, sorted by position (2θ from 15° to 90°):
d_spacing  2θ/deg  Rel. int.
3.024  29.5  100
2.717  33.0  22
2.574  34.9  38
1.869  48.7  30
1.820  50.1  14
1.622  56.8  16
1.559  59.3  29
1.512  61.3  15

Structure:
```
RbAlTlAu2
1.0
5.148 0.000 0.000
0.000 5.148 0.000
0.000 0.000 5.434
Rb Al Tl Au
1 1 1 2
direct
0.000 0.000 0.000
0.500 0.500 0.500
0.500 0.500 0.000
0.000 0.500 0.500
0.500 0.000 0.500
```



(13)
# Al2RhAu
Calculated powder diffraction line list, Cu Ka. Input: a cell relaxed with GGA-PBE.
Neutral-atom scattering factors, no anomalous dispersion.

Main lines, sorted by position (2θ from 15° to 90°):
d_spacing  2θ/deg  Rel. int.
3.470  25.7  84
2.994  29.8  89
2.947  30.3  57
2.246  40.1  100
2.100  43.1  97
2.062  43.9  34
2.054  44.1  33
1.931  47.1  36

Structure:
```
Al2RhAu
1.0
3.066 0.000 0.000
0.000 2.947 0.000
-1.507 0.000 6.941
Al Rh Au
2 1 1
direct
0.000 0.000 0.000
0.214 0.000 0.434
0.605 0.500 0.213
0.379 0.500 0.756
```